Diffraction record for Ba3VSn2O9. The X-ray powder pattern is calculated, not measured: it uses a PBE+U-relaxed structure and Cu Kα (weighted mean of Kα1 and Kα2).
No peak broadening, texture or thermal motion is included.

Unit cell a=5.8357 b=5.8357 c=7.1640 alpha=90.00 beta=90.00 gamma=120.00
Positions (direct):
Ba: 0.0000 0.0000 0.0000
Ba: 0.3333 0.6667 0.6647
Ba: 0.6667 0.3333 0.3353
V: 0.0000 0.0000 0.5000
Sn: 0.3333 0.6667 0.1716
Sn: 0.6667 0.3333 0.8284
O: 0.0000 0.5000 0.0000
O: 0.1620 0.3240 0.3390
O: 0.1620 0.8380 0.3390
O: 0.3240 0.1620 0.6610
O: 0.5000 0.0000 0.0000
O: 0.5000 0.5000 0.0000
O: 0.6760 0.8380 0.3390
O: 0.8380 0.1620 0.6610
O: 0.8380 0.6760 0.6610

The 10 most intense peaks (2θ = 10–80°), most intense first:
2θ 30.62, I = 100
2θ 43.85, I = 31
2θ 54.41, I = 31
2θ 72.36, I = 18
2θ 54.47, I = 10
2θ 63.69, I = 10
2θ 63.80, I = 10
2θ 37.73, I = 6
2θ 21.52, I = 2
2θ 17.55, I = 2